This entry pairs a crystal structure of La3Pr4ThTe8 with its simulated XRD peak list. Radiation: Cu Ka. Structure: the GGA-PBE geometry in Alexandria.

abc: 15.649 9.122 9.046
angles: 90.00 124.83 90.00
Space group C2/m (No. 12)
Asymmetric unit:
La 0.000 0.000 0.000 [2 per cell]
La 0.250 0.250 0.500 [4 per cell]
Pr 0.000 0.000 0.500 [2 per cell]
Pr 0.000 0.500 0.500 [2 per cell]
Pr 0.250 0.250 0.000 [4 per cell]
Th 0.000 0.500 0.000 [2 per cell]
Te 0.001 0.252 0.751 [8 per cell]
Te 0.249 0.500 0.247 [4 per cell]
Te 0.249 0.500 0.751 [4 per cell]

Largest 12 diffraction maxima, in order of rising 2θ, 2θ from 5° to 70°:
- 2θ 11.91, intensity 1, (0 0 1)
- 2θ 13.79, intensity 1, (2 0 0)
- 2θ 22.93, intensity 1, (3 1 0)
- 2θ 23.94, intensity 1, (2 2 0)
- 2θ 27.78, intensity 100, (4 0 0)
- 2θ 39.55, intensity 39, (2 2 2)
- 2θ 39.83, intensity 38, (6 2 -2)
- 2θ 49.02, intensity 21, (4 4 0)
- 2θ 49.49, intensity 7, (8 0 -4)
- 2θ 57.38, intensity 13, (8 0 0)
- 2θ 64.73, intensity 18, (6 2 2)
- 2θ 65.13, intensity 18, (10 2 -2)

***

This entry pairs a crystal structure of YCoSe2Br with its simulated XRD peak list. Radiation: Cu Ka. Structure: the GGA-PBE geometry in Alexandria.

abc: 4.821 4.821 4.653
angles: 90.00 90.00 90.00
Space group P4/mmm (No. 123)
Asymmetric unit:
Y 0.000 0.000 0.000 [1 per cell]
Co 0.500 0.500 0.500 [1 per cell]
Se 0.000 0.500 0.500 [2 per cell]
Br 0.500 0.500 0.000 [1 per cell]

Largest 12 diffraction maxima, in order of rising 2θ, 2θ from 5° to 70°:
- 2θ 18.40, intensity 8, (1 0 0)
- 2θ 26.14, intensity 7, (1 1 0)
- 2θ 26.63, intensity 12, (1 0 1)
- 2θ 32.56, intensity 100, (1 1 1)
- 2θ 37.30, intensity 73, (2 0 0)
- 2θ 38.71, intensity 33, (0 0 2)
- 2θ 46.42, intensity 5, (2 1 1)
- 2θ 53.78, intensity 25, (2 2 0)
- 2θ 54.85, intensity 46, (2 0 2)
- 2θ 64.30, intensity 27, (3 1 1)
- 2θ 66.20, intensity 13, (1 1 3)
- 2θ 68.21, intensity 24, (2 2 2)

***

This entry pairs a crystal structure of ThZn5CdCu2 with its simulated XRD peak list. Radiation: Cu Ka. Structure: the GGA-PBE geometry in Alexandria.

abc: 4.745 4.745 7.246
angles: 90.00 90.00 90.00
Space group P4/mmm (No. 123)
Asymmetric unit:
Th 0.000 0.000 0.000 [1 per cell]
Zn 0.000 0.500 0.276 [4 per cell]
Zn 0.500 0.500 0.000 [1 per cell]
Cd 0.000 0.000 0.500 [1 per cell]
Cu 0.500 0.500 0.334 [2 per cell]

Largest 12 diffraction maxima, in order of rising 2θ, 2θ from 5° to 70°:
- 2θ 26.57, intensity 21, (1 1 0)
- 2θ 29.34, intensity 11, (1 1 1)
- 2θ 31.06, intensity 46, (1 0 2)
- 2θ 36.50, intensity 100, (1 1 2)
- 2θ 37.22, intensity 13, (0 0 3)
- 2θ 37.93, intensity 84, (2 0 0)
- 2θ 49.80, intensity 25, (2 1 2)
- 2θ 54.19, intensity 27, (2 0 3)
- 2θ 54.72, intensity 28, (2 2 0)
- 2θ 64.75, intensity 16, (2 0 4)
- 2θ 67.58, intensity 32, (3 1 2)
- 2θ 68.05, intensity 18, (2 2 3)

***

This entry pairs a crystal structure of Ni3P with its simulated XRD peak list. Radiation: Cu Ka. Structure: the GGA-PBE geometry in Alexandria.

abc: 3.366 7.905 6.656
angles: 90.00 90.00 90.00
Space group Cmcm (No. 63)
Asymmetric unit:
Ni 0.000 0.057 0.250 [4 per cell]
Ni 0.000 0.357 0.059 [8 per cell]
P 0.000 0.241 0.750 [4 per cell]

Largest 12 diffraction maxima, in order of rising 2θ, 2θ from 5° to 70°:
- 2θ 31.87, intensity 10, (1 1 1)
- 2θ 35.25, intensity 8, (0 2 2)
- 2θ 39.76, intensity 100, (1 1 2)
- 2θ 43.62, intensity 52, (1 3 0)
- 2θ 45.81, intensity 49, (1 3 1)
- 2θ 46.96, intensity 47, (0 2 3)
- 2θ 48.02, intensity 16, (0 4 1)
- 2θ 50.61, intensity 31, (1 1 3)
- 2θ 51.93, intensity 11, (1 3 2)
- 2θ 53.96, intensity 20, (0 4 2)
- 2θ 54.53, intensity 32, (2 0 0)
- 2θ 55.20, intensity 7, (0 0 4)

***

This entry pairs a crystal structure of BePd3Pt12 with its simulated XRD peak list. Radiation: Cu Ka. Structure: the GGA-PBE geometry in Alexandria.

abc: 3.921 3.921 15.868
angles: 90.00 90.00 90.00
Space group P4/mmm (No. 123)
Asymmetric unit:
Be 0.000 0.000 0.000 [1 per cell]
Pd 0.000 0.000 0.245 [2 per cell]
Pd 0.000 0.000 0.500 [1 per cell]
Pt 0.000 0.500 0.116 [4 per cell]
Pt 0.000 0.500 0.373 [4 per cell]
Pt 0.500 0.500 0.000 [1 per cell]
Pt 0.500 0.500 0.244 [2 per cell]
Pt 0.500 0.500 0.500 [1 per cell]

Largest 12 diffraction maxima, in order of rising 2θ, 2θ from 5° to 70°:
- 2θ 22.41, intensity 3, (0 0 4)
- 2θ 22.68, intensity 6, (1 0 0)
- 2θ 32.10, intensity 5, (1 0 4)
- 2θ 32.29, intensity 2, (1 1 0)
- 2θ 36.60, intensity 1, (1 1 3)
- 2θ 39.66, intensity 100, (1 1 4)
- 2θ 45.74, intensity 16, (0 0 8)
- 2θ 46.32, intensity 33, (2 0 0)
- 2θ 52.17, intensity 1, (2 1 0)
- 2θ 57.46, intensity 2, (2 1 4)
- 2θ 67.13, intensity 20, (2 0 8)
- 2θ 67.58, intensity 11, (2 2 0)

***

This entry pairs a crystal structure of Dy4InTe with its simulated XRD peak list. Radiation: Cu Ka. Structure: the GGA-PBE geometry in Alexandria.

abc: 6.156 8.374 8.031
angles: 90.00 108.37 90.00
Space group P2_1/m (No. 11)
Asymmetric unit:
Dy 0.037 0.045 0.252 [4 per cell]
Dy 0.361 0.250 0.020 [2 per cell]
Dy 0.443 0.750 0.494 [2 per cell]
In 0.198 0.750 0.073 [2 per cell]
Te 0.099 0.250 0.584 [2 per cell]

Largest 12 diffraction maxima, in order of rising 2θ, 2θ from 5° to 70°:
- 2θ 15.17, intensity 16, (1 0 0)
- 2θ 21.22, intensity 16, (0 2 0)
- 2θ 23.51, intensity 14, (1 0 -2)
- 2θ 26.19, intensity 32, (1 2 0)
- 2θ 31.03, intensity 39, (2 1 -1)
- 2θ 31.77, intensity 100, (0 2 2)
- 2θ 35.46, intensity 16, (1 1 -3)
- 2θ 36.27, intensity 24, (2 2 -1)
- 2θ 38.91, intensity 21, (2 2 -2)
- 2θ 43.22, intensity 14, (0 4 0)
- 2θ 49.15, intensity 16, (2 3 1)
- 2θ 59.81, intensity 16, (1 2 4)

***

This entry pairs a crystal structure of LiCeBr3 with its simulated XRD peak list. Radiation: Cu Ka. Structure: the GGA-PBE geometry in Alexandria.

abc: 6.9538 6.9538 21.0602
angles: 90.00 90.00 120.00
Space group R-3 (No. 148, hexagonal axes)
Asymmetric unit:
Li 0.0000 0.0000 0.1599 [6 per cell]
Ce 0.0000 0.0000 0.3397 [6 per cell]
Br 0.0049 0.6516 0.4239 [18 per cell]

Largest 12 diffraction maxima, in order of rising 2θ, 2θ from 5° to 70°:
- 2θ 12.61, intensity 16, (0 0 3)
- 2θ 15.30, intensity 12, (1 0 1)
- 2θ 16.96, intensity 15, (0 1 2)
- 2θ 22.43, intensity 9, (1 0 4)
- 2θ 28.65, intensity 100, (1 1 3)
- 2θ 29.98, intensity 6, (0 2 1)
- 2θ 36.37, intensity 55, (2 -1 6)
- 2θ 45.17, intensity 31, (3 0 0)
- 2θ 46.80, intensity 17, (2 -1 9)
- 2θ 54.37, intensity 15, (4 -2 3)
- 2θ 59.32, intensity 13, (2 2 6)
- 2θ 60.79, intensity 8, (3 0 9)

***

This entry pairs a crystal structure of MnCd4S5 with its simulated XRD peak list. Radiation: Cu Ka. Structure: the GGA-PBE geometry in Alexandria.

abc: 4.1495 4.1495 50.7089
angles: 90.00 90.00 120.00
Space group R3m (No. 160, hexagonal axes)
Asymmetric unit:
Mn 0.0000 0.0000 0.0000 [3 per cell]
Cd 0.0000 0.0000 0.2012 [3 per cell]
Cd 0.0000 0.0000 0.3985 [3 per cell]
Cd 0.0000 0.0000 0.6028 [3 per cell]
Cd 0.0000 0.0000 0.7999 [3 per cell]
S 0.0000 0.0000 0.0474 [3 per cell]
S 0.0000 0.0000 0.2517 [3 per cell]
S 0.0000 0.0000 0.4489 [3 per cell]
S 0.0000 0.0000 0.6535 [3 per cell]
S 0.0000 0.0000 0.8503 [3 per cell]

Largest 12 diffraction maxima, in order of rising 2θ, 2θ from 5° to 70°:
- 2θ 5.23, intensity 5, (0 0 3)
- 2θ 10.47, intensity 1, (0 0 6)
- 2θ 21.02, intensity 1, (0 0 12)
- 2θ 26.32, intensity 100, (0 1 5)
- 2θ 30.49, intensity 21, (1 0 10)
- 2θ 39.25, intensity 2, (0 1 17)
- 2θ 43.66, intensity 57, (1 1 0)
- 2θ 51.70, intensity 43, (2 0 5)
- 2θ 54.15, intensity 4, (0 2 10)
- 2θ 54.27, intensity 1, (0 0 30)
- 2θ 63.45, intensity 9, (2 0 20)
- 2θ 69.89, intensity 13, (1 2 5)

***

This entry pairs a crystal structure of Tb3Y2Er9 with its simulated XRD peak list. Radiation: Cu Ka. Structure: the GGA-PBE geometry in Alexandria.

abc: 6.205 8.650 8.743
angles: 79.97 75.90 87.47
Space group P1 (No. 1)
Asymmetric unit:
Tb 0.000 0.000 0.000 [1 per cell]
Tb 0.169 0.336 0.197 [1 per cell]
Tb 0.689 0.584 0.646 [1 per cell]
Y 0.350 0.929 0.635 [1 per cell]
Y 0.471 0.004 0.228 [1 per cell]
Er 0.022 0.271 0.638 [1 per cell]
Er 0.131 0.576 0.831 [1 per cell]
Er 0.276 0.631 0.418 [1 per cell]
Er 0.450 0.214 0.832 [1 per cell]
Er 0.462 0.731 0.002 [1 per cell]
Er 0.591 0.298 0.429 [1 per cell]
Er 0.726 0.362 0.030 [1 per cell]
Er 0.845 0.654 0.229 [1 per cell]
Er 0.915 0.961 0.427 [1 per cell]

Largest 12 diffraction maxima, in order of rising 2θ, 2θ from 5° to 70°:
- 2θ 31.53, intensity 91, (0 3 0)
- 2θ 31.93, intensity 100, (1 1 3)
- 2θ 33.55, intensity 51, (-1 2 2)
- 2θ 34.88, intensity 37, (2 2 1)
- 2θ 41.55, intensity 14, (1 -2 3)
- 2θ 49.19, intensity 22, (3 0 -1)
- 2θ 52.71, intensity 13, (2 -4 0)
- 2θ 55.34, intensity 13, (3 0 4)
- 2θ 59.20, intensity 22, (-2 1 4)
- 2θ 60.69, intensity 11, (3 3 4)
- 2θ 62.96, intensity 27, (-3 3 2)
- 2θ 64.77, intensity 11, (4 -2 1)

***

This entry pairs a crystal structure of ScCd2Sb with its simulated XRD peak list. Radiation: Cu Ka. Structure: the GGA-PBE geometry in Alexandria.

abc: 4.334 4.451 9.542
angles: 90.00 90.00 90.00
Space group Imm2 (No. 44)
Asymmetric unit:
Sc 0.000 0.000 0.000 [2 per cell]
Cd 0.000 0.000 0.498 [2 per cell]
Cd 0.000 0.500 0.251 [2 per cell]
Sb 0.000 0.500 0.745 [2 per cell]

Largest 12 diffraction maxima, in order of rising 2θ, 2θ from 5° to 70°:
- 2θ 18.60, intensity 4, (0 0 2)
- 2θ 22.04, intensity 4, (0 1 1)
- 2θ 22.53, intensity 5, (1 0 1)
- 2θ 34.46, intensity 100, (1 1 2)
- 2θ 37.71, intensity 19, (0 0 4)
- 2θ 40.54, intensity 16, (0 2 0)
- 2θ 41.68, intensity 15, (2 0 0)
- 2θ 56.56, intensity 11, (0 2 4)
- 2θ 57.45, intensity 11, (2 0 4)
- 2θ 59.55, intensity 10, (2 2 0)
- 2θ 66.00, intensity 14, (1 1 6)
- 2θ 69.85, intensity 12, (1 3 2)